1.
This entry pairs a crystal structure of ZnFe4Cu10Sn5S20 with its theoretical powder X-ray diffraction pattern. Radiation: a wavelength of 1.5418 Å. Structure: a DFT-relaxed cell (PBE, Alexandria).
Intensities are scaled so that the largest is 100.

Principal peaks in the range 5 to 70 degrees two-theta, sorted by position:
(1 0 5), 18.2 deg, I 5; (1 1 10), 28.4 deg, I 100; (2 0 0), 32.7 deg, I 10; (0 0 20), 33.3 deg, I 5; (2 2 0), 47.0 deg, I 20; (2 0 20), 47.4 deg, I 39; (3 1 10), 55.8 deg, I 28; (1 1 30), 56.6 deg, I 14; (2 2 20), 58.8 deg, I 4; (4 0 0), 68.6 deg, I 6

Structure:
```
data_ZnFe4Cu10Sn5S20
_space_group_name_H-M_alt 'I -4 2 m'
_space_group_IT_number 121
_space_group_name_Hall 'I -4 2'
_cell_length_a 5.470
_cell_length_b 5.470
_cell_length_c 53.814
_cell_angle_alpha 90.00
_cell_angle_beta 90.00
_cell_angle_gamma 90.00
loop_
_atom_site_label
_atom_site_fract_x
_atom_site_fract_y
_atom_site_fract_z
Zn1 0.000 0.000 0.000
Fe1 0.000 0.000 0.200
Fe2 0.000 0.000 0.400
Cu1 0.000 0.500 0.051
Cu2 0.000 0.500 0.150
Cu3 0.000 0.500 0.250
Sn1 0.000 0.000 0.101
Sn2 0.000 0.000 0.300
Sn3 0.000 0.000 0.500
S1 0.233 0.233 0.227
S2 0.233 0.233 0.627
S3 0.233 0.233 0.826
S4 0.234 0.234 0.426
S5 0.241 0.241 0.027
```

2.
This entry pairs a crystal structure of CaAc3Sb4 with its theoretical powder X-ray diffraction pattern. Radiation: a wavelength of 1.5418 Å. Structure: a DFT-relaxed cell (PBE, Alexandria).
Intensities are scaled so that the largest is 100.

Principal peaks in the range 5 to 70 degrees two-theta, sorted by position:
(1 0 0), 13.2 deg, I 11; (1 1 0), 18.7 deg, I 10; (1 1 1), 22.9 deg, I 6; (2 0 0), 26.5 deg, I 100; (2 1 0), 29.7 deg, I 7; (2 2 0), 37.8 deg, I 79; (2 2 2), 46.8 deg, I 29; (4 0 0), 54.6 deg, I 14; (4 2 0), 61.7 deg, I 38; (4 2 2), 68.3 deg, I 28

Structure:
```
data_CaAc3Sb4
_space_group_name_H-M_alt 'P m -3 m'
_space_group_IT_number 221
_space_group_name_Hall '-P 4 2 3'
_cell_length_a 6.724
_cell_length_b 6.724
_cell_length_c 6.724
_cell_angle_alpha 90.00
_cell_angle_beta 90.00
_cell_angle_gamma 90.00
loop_
_atom_site_label
_atom_site_fract_x
_atom_site_fract_y
_atom_site_fract_z
Ca1 0.000 0.000 0.000
Ac1 0.000 0.500 0.500
Sb1 0.000 0.000 0.500
Sb2 0.500 0.500 0.500
```

3.
This entry pairs a crystal structure of Ac2MoS6 with its theoretical powder X-ray diffraction pattern. Radiation: a wavelength of 1.5418 Å. Structure: a DFT-relaxed cell (PBE, Alexandria).
Intensities are scaled so that the largest is 100.

Principal peaks in the range 5 to 70 degrees two-theta, sorted by position:
(1 0 -2), 17.4 deg, I 51; (1 1 -1), 18.2 deg, I 53; (1 1 0), 20.4 deg, I 68; (1 1 -2), 20.9 deg, I 65; (0 2 1), 25.2 deg, I 100; (1 1 1), 26.4 deg, I 72; (1 1 -3), 27.1 deg, I 69; (0 2 3), 37.7 deg, I 52; (2 2 -1), 38.0 deg, I 68; (0 0 4), 39.4 deg, I 72

Structure:
```
data_Ac2MoS6
_space_group_name_H-M_alt 'P 1 21/c 1'
_space_group_IT_number 14
_space_group_name_Hall '-P 2ybc'
_cell_length_a 6.313
_cell_length_b 7.658
_cell_length_c 10.925
_cell_angle_alpha 90.00
_cell_angle_beta 123.19
_cell_angle_gamma 90.00
loop_
_atom_site_label
_atom_site_fract_x
_atom_site_fract_y
_atom_site_fract_z
Ac1 0.212 0.105 0.259
Mo1 0.500 0.000 0.000
S1 0.135 0.161 0.959
S2 0.294 0.718 0.957
S3 0.325 0.018 0.743
```